Theoretical powder X-ray diffraction pattern of Ba4Si23 for λ = 1.5418 Å (Cu Kα), from a GGA-PBE-relaxed structure.
No peak broadening, texture or thermal motion is included.

Atomic structure:
Cell: 10.3939 10.3939 10.3939 Å, 90.00 90.00 90.00°
Space group Pm-3n (No. 223)
Unique sites:
Ba 0.0000 0.0000 0.0000 [2 per cell]
Ba 0.0000 0.2500 0.5000 [6 per cell]
Si 0.0000 0.3066 0.1208 [24 per cell]
Si 0.0000 0.5000 0.2500 [6 per cell]
Si 0.1852 0.1852 0.1852 [16 per cell]

Top 10 peaks for 2θ = 10–90°, in order of rising 2θ:
| two_theta | I_rel |
| --- | --- |
| 19.09 | 26.6 |
| 20.94 | 25.8 |
| 29.78 | 25.0 |
| 31.02 | 46.6 |
| 32.22 | 100.0 |
| 34.52 | 24.8 |
| 47.08 | 12.9 |
| 52.85 | 17.0 |
| 54.42 | 39.8 |
| 66.05 | 13.7 |